Starting from a structure optimized by DFT (GGA+U), the powder X-ray diffraction pattern of Co6SeO8 was calculated for Cu Kα X-rays.
Peak positions follow from Bragg's law for the DFT cell and can differ from measured ones.

Most intense lines, 2θ from 5° to 70°, most intense first:
2theta  Rel. int.
42.3  100
36.4  64
61.4  58
18.0  28
34.8  13
55.9  5
64.5  5
46.3  5

Crystal structure
```
Co6SeO8
1.0
0.0000 4.2737 4.2737
4.2737 0.0000 4.2737
4.2737 4.2737 0.0000
Co Se O
6 1 8
Direct
0.0000 0.0000 0.5000
0.0000 0.5000 0.0000
0.0000 0.5000 0.5000
0.5000 0.0000 0.0000
0.5000 0.0000 0.5000
0.5000 0.5000 0.0000
0.0000 0.0000 0.0000
0.2402 0.2402 0.7598
0.2402 0.7598 0.2402
0.2402 0.7598 0.7598
0.2500 0.2500 0.2500
0.7500 0.7500 0.7500
0.7598 0.2402 0.2402
0.7598 0.2402 0.7598
0.7598 0.7598 0.2402
```